1.
Calculated XRD peak list
Compound: K2BiPbCl8
Radiation: Cu Kα, 1.54184 Å
Structure: the PBE geometry in Alexandria
Kinematic intensities with the Lorentz-polarization factor, no thermal factor.

Peak list (10 most intense, 2θ from 10° to 80°, by angle)
d/Å  I_rel
7.062  93
6.840  97
5.064  100
4.775  71
3.684  36
3.651  78
3.286  73
2.546  66
2.469  37
2.066  47

Unit cell a=6.852 b=8.635 c=7.074 alpha=90.00 beta=93.37 gamma=90.00
Fractional positions:
K 0.000 0.247 0.000
K 0.000 0.753 0.000
Bi 0.500 0.000 0.500
Pb 0.500 0.500 0.500
Cl 0.273 0.000 0.179
Cl 0.277 0.500 0.179
Cl 0.282 0.246 0.634
Cl 0.282 0.754 0.634
Cl 0.718 0.246 0.366
Cl 0.718 0.754 0.366
Cl 0.723 0.500 0.821
Cl 0.727 0.000 0.821

=====

2.
Calculated XRD peak list
Compound: LaSb3S6
Radiation: Cu Kα, 1.54184 Å
Structure: the PBE geometry in Alexandria
Kinematic intensities with the Lorentz-polarization factor, no thermal factor.

Peak list (10 most intense, 2θ from 10° to 80°, by angle)
d/Å  I_rel
5.768  75
3.966  81
3.638  79
3.466  48
3.238  69
3.026  67
2.760  100
2.733  48
2.180  67
1.970  68

Unit cell a=11.727 b=3.941 c=11.957 alpha=90.00 beta=104.03 gamma=90.00
Fractional positions:
La 0.187 0.250 0.031
La 0.813 0.750 0.969
Sb 0.036 0.750 0.293
Sb 0.337 0.250 0.427
Sb 0.403 0.750 0.847
Sb 0.597 0.250 0.153
Sb 0.663 0.750 0.573
Sb 0.964 0.250 0.707
S 0.035 0.750 0.887
S 0.124 0.250 0.444
S 0.220 0.750 0.226
S 0.257 0.250 0.799
S 0.385 0.750 0.051
S 0.390 0.750 0.569
S 0.610 0.250 0.431
S 0.615 0.250 0.949
S 0.743 0.750 0.201
S 0.780 0.250 0.774
S 0.876 0.750 0.556
S 0.965 0.250 0.113

=====

3.
Calculated XRD peak list
Compound: Sn6I7Br5
Radiation: Cu Kα, 1.54184 Å
Structure: the PBE geometry in Alexandria
Kinematic intensities with the Lorentz-polarization factor, no thermal factor.

Peak list (10 most intense, 2θ from 10° to 80°, by angle)
d/Å  I_rel
5.413  31
5.054  72
3.504  76
3.400  100
2.733  73
2.706  35
2.636  46
2.527  30
2.299  35
2.171  89

Unit cell a=13.794 b=7.405 c=7.405 alpha=93.93 beta=90.00 gamma=90.00
Fractional positions:
Sn 0.000 0.000 0.000
Sn 0.166 0.497 0.497
Sn 0.327 0.994 0.994
Sn 0.500 0.472 0.472
Sn 0.673 0.994 0.994
Sn 0.834 0.497 0.497
I 0.000 0.298 0.707
I 0.000 0.707 0.298
I 0.332 0.278 0.686
I 0.332 0.686 0.278
I 0.500 0.791 0.791
I 0.668 0.278 0.686
I 0.668 0.686 0.278
Br 0.157 0.194 0.194
Br 0.172 0.794 0.794
Br 0.500 0.184 0.184
Br 0.828 0.794 0.794
Br 0.843 0.194 0.194

=====

4.
Calculated XRD peak list
Compound: Ba6NiAu2
Radiation: Cu Kα, 1.54184 Å
Structure: the PBE geometry in Alexandria
Kinematic intensities with the Lorentz-polarization factor, no thermal factor.

Peak list (10 most intense, 2θ from 10° to 80°, by angle)
d/Å  I_rel
6.678  45
5.562  31
4.343  26
3.591  52
3.560  100
2.781  40
2.767  81
2.342  54
2.316  25
1.477  23

Unit cell a=7.615 b=8.145 c=13.898 alpha=90.00 beta=90.00 gamma=90.00
Fractional positions:
Ba 0.226 0.177 0.000
Ba 0.236 0.660 0.159
Ba 0.236 0.660 0.841
Ba 0.264 0.160 0.341
Ba 0.264 0.160 0.659
Ba 0.274 0.677 0.500
Ba 0.726 0.323 0.500
Ba 0.736 0.840 0.341
Ba 0.736 0.840 0.659
Ba 0.764 0.340 0.159
Ba 0.764 0.340 0.841
Ba 0.774 0.823 0.000
Ni 0.000 0.500 0.000
Ni 0.500 0.000 0.500
Au 0.000 0.000 0.176
Au 0.000 0.000 0.824
Au 0.500 0.500 0.324
Au 0.500 0.500 0.676

=====

5.
Calculated XRD peak list
Compound: Pm2Nd6Tm3
Radiation: Cu Kα, 1.54184 Å
Structure: the PBE geometry in Alexandria
Kinematic intensities with the Lorentz-polarization factor, no thermal factor.

Peak list (10 most intense, 2θ from 10° to 80°, by angle)
d/Å  I_rel
2.957  100
2.565  34
2.553  17
1.816  6
1.810  30
1.547  14
1.545  11
1.541  14
1.480  6
1.477  6

Unit cell a=6.270 b=8.077 c=8.116 alpha=107.48 beta=97.32 gamma=104.86
Fractional positions:
Pm 0.229 0.411 0.048
Pm 0.771 0.589 0.952
Nd 0.046 0.683 0.410
Nd 0.136 0.046 0.232
Nd 0.320 0.773 0.865
Nd 0.680 0.227 0.135
Nd 0.864 0.954 0.768
Nd 0.954 0.317 0.590
Tm 0.410 0.137 0.680
Tm 0.500 0.500 0.500
Tm 0.590 0.863 0.320

=====

6.
Calculated XRD peak list
Compound: Cs2BiS
Radiation: Cu Kα, 1.54184 Å
Structure: the PBE geometry in Alexandria
Kinematic intensities with the Lorentz-polarization factor, no thermal factor.

Peak list (10 most intense, 2θ from 10° to 80°, by angle)
d/Å  I_rel
6.253  21
3.958  100
3.126  12
2.949  13
2.796  34
2.671  20
2.285  33
2.031  12
1.846  13
1.496  15

Unit cell a=9.276 b=9.276 c=9.276 alpha=95.24 beta=95.24 gamma=144.83
Fractional positions:
Cs 0.375 0.032 0.157
Cs 0.782 0.625 0.657
Cs 0.875 0.218 0.843
Cs 0.968 0.125 0.343
Bi 0.250 0.750 0.500
Bi 0.500 0.500 0.000
S 0.000 0.000 0.000
S 0.750 0.250 0.500